Diffraction record for Mn4P. The powder diffractogram is calculated, not measured: it uses a GGA-PBE-relaxed structure and copper Kα.
Peak positions follow from Bragg's law for the DFT cell and can differ from measured ones.

Structure:
a b c (Å): 5.266 5.266 5.266
angles (deg): 90.00 90.00 90.00
Atoms (fractional coordinates):
Mn  0.250  0.250  0.250
Mn  0.250  0.250  0.750
Mn  0.250  0.750  0.250
Mn  0.250  0.750  0.750
Mn  0.750  0.250  0.250
Mn  0.750  0.250  0.750
Mn  0.750  0.750  0.250
Mn  0.750  0.750  0.750
P  0.000  0.000  0.000
P  0.500  0.500  0.500

Top 8 peaks for 10° ≤ 2θ ≤ 90°, in order of rising 2θ:
- 2θ = 23.9°, 3.724 Å, I 121, hkl 1 1 0
- 2θ = 34.0°, 2.633 Å, I 870, hkl 2 0 0
- 2θ = 42.0°, 2.150 Å, I 46, hkl 2 1 1
- 2θ = 48.9°, 1.862 Å, I 1000, hkl 2 2 0
- 2θ = 60.9°, 1.520 Å, I 186, hkl 2 2 2
- 2θ = 66.4°, 1.407 Å, I 22, hkl 3 2 1
- 2θ = 71.7°, 1.317 Å, I 144, hkl 4 0 0
- 2θ = 81.8°, 1.178 Å, I 217, hkl 4 2 0



Diffraction record for Li2Ag3Cl6. The powder diffractogram is calculated, not measured: it uses a GGA-PBE-relaxed structure and copper Kα.
Peak positions follow from Bragg's law for the DFT cell and can differ from measured ones.

Structure:
a b c (Å): 4.349 4.349 16.779
angles (deg): 90.00 90.00 120.00
Atoms (fractional coordinates):
Li  0.000  0.000  0.000
Li  0.333  0.667  0.393
Ag  0.333  0.667  0.787
Ag  0.667  0.333  0.225
Ag  0.667  0.333  0.577
Cl  0.333  0.667  0.242
Cl  0.333  0.667  0.542
Cl  0.333  0.667  0.935
Cl  0.667  0.333  0.078
Cl  0.667  0.333  0.385
Cl  0.667  0.333  0.734

Top 8 peaks for 10° ≤ 2θ ≤ 90°, in order of rising 2θ:
- 2θ = 10.5°, 8.390 Å, I 483, hkl 0 0 2
- 2θ = 23.6°, 3.766 Å, I 1000, hkl 1 0 0
- 2θ = 24.2°, 3.675 Å, I 603, hkl 1 0 1
- 2θ = 25.9°, 3.436 Å, I 613, hkl 1 0 2
- 2θ = 32.0°, 2.799 Å, I 363, hkl 0 0 6
- 2θ = 40.2°, 2.245 Å, I 579, hkl 1 0 6
- 2θ = 41.5°, 2.174 Å, I 781, hkl 1 1 0
- 2θ = 53.4°, 1.717 Å, I 296, hkl 1 1 6



Diffraction record for Cs2Hg10Te. The powder diffractogram is calculated, not measured: it uses a GGA-PBE-relaxed structure and copper Kα.
Peak positions follow from Bragg's law for the DFT cell and can differ from measured ones.

Structure:
a b c (Å): 10.676 16.565 6.287
angles (deg): 90.00 90.00 90.00
Atoms (fractional coordinates):
Cs  0.185  0.074  0.000
Cs  0.315  0.574  0.000
Cs  0.685  0.426  0.000
Cs  0.815  0.926  0.000
Hg  0.081  0.628  0.500
Hg  0.110  0.199  0.500
Hg  0.160  0.803  0.248
Hg  0.160  0.803  0.752
Hg  0.202  0.447  0.500
Hg  0.298  0.947  0.500
Hg  0.340  0.303  0.248
Hg  0.340  0.303  0.752
Hg  0.390  0.699  0.500
Hg  0.419  0.128  0.500
Hg  0.581  0.872  0.500
Hg  0.610  0.301  0.500
Hg  0.660  0.697  0.248
Hg  0.660  0.697  0.752
Hg  0.702  0.053  0.500
Hg  0.798  0.553  0.500
Hg  0.840  0.197  0.248
Hg  0.840  0.197  0.752
Hg  0.890  0.801  0.500
Hg  0.919  0.372  0.500
Te  0.000  0.000  0.500
Te  0.500  0.500  0.500

Top 8 peaks for 10° ≤ 2θ ≤ 90°, in order of rising 2θ:
- 2θ = 14.1°, 6.287 Å, I 1000, hkl 0 0 1
- 2θ = 27.1°, 3.290 Å, I 612, hkl 1 4 1
- 2θ = 28.2°, 3.164 Å, I 388, hkl 1 5 0
- 2θ = 29.9°, 2.991 Å, I 381, hkl 3 3 0
- 2θ = 30.8°, 2.901 Å, I 430, hkl 3 2 1
- 2θ = 31.6°, 2.830 Å, I 582, hkl 1 5 1
- 2θ = 33.5°, 2.673 Å, I 692, hkl 2 1 2
- 2θ = 36.9°, 2.437 Å, I 495, hkl 1 4 2